For LaP3H8O7, DFT lattice parameters and positions (PBE) gives the simulated X-ray diffraction stick pattern in this record (Cu Kα X-rays).
Peak positions follow from Bragg's law for the DFT cell and can differ from measured ones.

The 8 most intense peaks (2θ from 10° to 80°), by angle:
- hkl 0 0 1, 2θ 10.80, rel. 92
- hkl 0 1 -1, 2θ 12.68, rel. 98
- hkl 1 0 0, 2θ 12.94, rel. 29
- hkl 1 -1 0, 2θ 14.69, rel. 28
- hkl 1 1 -1, 2θ 19.06, rel. 27
- hkl 0 2 0, 2θ 24.87, rel. 100
- hkl 2 0 -1, 2θ 25.52, rel. 39
- hkl -1 1 2, 2θ 27.72, rel. 28

Cell and atoms:
Cell: 7.314 8.100 9.062 Å, 110.71 98.21 104.62°
Space group P-1 (No. 2)
Asymmetric unit:
1 La 0.160 0.317 0.368 x2
2 P 0.033 0.193 0.912 x2
3 P 0.348 0.682 0.768 x2
4 P 0.468 0.728 0.313 x2
5 H 0.038 0.347 0.870 x2
6 H 0.148 0.996 0.559 x2
7 H 0.187 0.800 0.480 x2
8 H 0.226 0.184 0.918 x2
9 H 0.344 0.624 0.899 x2
10 H 0.367 0.873 0.840 x2
11 H 0.453 0.623 0.145 x2
12 H 0.455 0.901 0.315 x2
13 O 0.005 0.240 0.084 x2
14 O 0.111 0.867 0.548 x2
15 O 0.113 0.981 0.226 x2
16 O 0.152 0.573 0.640 x2
17 O 0.289 0.637 0.358 x2
18 O 0.329 0.238 0.586 x2
19 O 0.473 0.339 0.293 x2